No. 1
Starting from a GGA-PBE-relaxed structure, the X-ray diffraction stick pattern of SiO was computed for Cu Kα (λ = 1.5418 Å).
Kinematic intensities with the Lorentz-polarization factor, no thermal factor.

```
SiO
1.0
4.578 0.000 0.000
0.000 7.082 0.000
0.000 0.000 8.933
Si O
8 8
Direct
0.201 0.140 0.176
0.201 0.860 0.324
0.299 0.140 0.824
0.299 0.860 0.676
0.701 0.360 0.824
0.701 0.640 0.676
0.799 0.360 0.176
0.799 0.640 0.324
0.000 0.250 0.765
0.000 0.750 0.735
0.250 0.071 0.000
0.250 0.929 0.500
0.500 0.250 0.235
0.500 0.750 0.265
0.750 0.429 0.000
0.750 0.571 0.500
```

Most intense lines, 5° ≤ 2θ ≤ 70°, sorted by position:
2theta, I/Imax
16.0, 84
19.9, 34
23.1, 100
32.3, 18
32.6, 25
33.5, 43
42.7, 11
43.1, 13
44.4, 22
61.6, 19

No. 2
Starting from a GGA-PBE-relaxed structure, the X-ray diffraction stick pattern of Tb5Sc4Tl4 was computed for Cu Kα (λ = 1.5418 Å).
Kinematic intensities with the Lorentz-polarization factor, no thermal factor.

```
Tb5Sc4Tl4
1.0
-6.107 6.107 2.402
6.107 -6.107 2.402
6.107 6.107 -2.402
Tb Sc Tl
5 4 4
Direct
0.000 0.000 0.000
0.306 0.612 0.919
0.388 0.306 0.694
0.612 0.694 0.306
0.694 0.388 0.081
0.096 0.416 0.512
0.416 0.904 0.319
0.584 0.096 0.681
0.904 0.584 0.488
0.082 0.754 0.836
0.246 0.082 0.329
0.754 0.918 0.671
0.918 0.246 0.164
```

Most intense lines, 5° ≤ 2θ ≤ 70°, sorted by position:
2theta, I/Imax
10.2, 20
24.7, 45
28.7, 29
32.3, 100
32.8, 44
35.6, 74
37.5, 47
43.2, 20
50.6, 27
64.5, 17

No. 3
Starting from a GGA-PBE-relaxed structure, the X-ray diffraction stick pattern of ThPaCS2 was computed for Cu Kα (λ = 1.5418 Å).
Kinematic intensities with the Lorentz-polarization factor, no thermal factor.

```
ThPaCS2
1.0
3.958 0.000 0.000
0.000 3.958 0.000
0.000 0.000 13.726
Th Pa C S
2 2 2 4
Direct
0.250 0.250 0.109
0.750 0.750 0.891
0.250 0.250 0.587
0.750 0.750 0.413
0.250 0.750 0.500
0.750 0.250 0.500
0.250 0.250 0.306
0.250 0.250 0.888
0.750 0.750 0.112
0.750 0.750 0.694
```

Most intense lines, 5° ≤ 2θ ≤ 70°, sorted by position:
2theta, I/Imax
12.9, 15
26.0, 100
32.0, 47
34.6, 30
41.6, 25
45.8, 25
51.6, 13
53.5, 36
58.7, 20
66.8, 10

No. 4
Starting from a GGA-PBE-relaxed structure, the X-ray diffraction stick pattern of Ag2Pb2Cl7 was computed for Cu Kα (λ = 1.5418 Å).
Kinematic intensities with the Lorentz-polarization factor, no thermal factor.

```
Ag2Pb2Cl7
1.0
4.643 -5.286 0.000
4.643 5.286 0.000
-1.192 0.000 6.491
Ag Pb Cl
2 2 7
Direct
0.000 0.000 0.000
0.585 0.585 0.030
0.029 0.539 0.493
0.539 0.029 0.493
0.222 0.222 0.271
0.270 0.902 0.763
0.328 0.706 0.239
0.706 0.328 0.239
0.752 0.752 0.759
0.860 0.860 0.297
0.902 0.270 0.763
```

Most intense lines, 5° ≤ 2θ ≤ 70°, sorted by position:
2theta, I/Imax
21.7, 100
25.8, 52
27.5, 11
33.9, 17
35.3, 36
39.4, 14
40.6, 33
43.1, 29
44.2, 11
45.3, 12

No. 5
Starting from a GGA-PBE-relaxed structure, the X-ray diffraction stick pattern of TaPdS3 was computed for Cu Kα (λ = 1.5418 Å).
Kinematic intensities with the Lorentz-polarization factor, no thermal factor.

```
TaPdS3
1.0
6.238 0.000 0.000
0.000 3.410 0.000
-1.898 0.000 10.117
Ta Pd S
2 2 6
Direct
0.007 0.250 0.311
0.993 0.750 0.689
0.342 0.750 0.244
0.658 0.250 0.756
0.157 0.250 0.116
0.208 0.750 0.460
0.267 0.250 0.765
0.733 0.750 0.235
0.792 0.250 0.540
0.843 0.750 0.884
```

Most intense lines, 5° ≤ 2θ ≤ 70°, sorted by position:
2theta, I/Imax
8.7, 36
14.4, 56
17.5, 100
18.2, 40
30.5, 33
32.1, 67
35.8, 35
41.8, 29
44.6, 30
44.9, 36

No. 6
Starting from a GGA-PBE-relaxed structure, the X-ray diffraction stick pattern of La2TbPm2Er2 was computed for Cu Kα (λ = 1.5418 Å).
Kinematic intensities with the Lorentz-polarization factor, no thermal factor.

```
La2TbPm2Er2
1.0
11.436 0.000 0.000
0.000 5.129 0.000
-1.152 0.000 8.058
La Tb Pm Er
4 2 4 4
Direct
0.142 0.000 0.425
0.358 0.500 0.575
0.642 0.500 0.425
0.858 0.000 0.575
0.000 0.000 0.000
0.500 0.500 0.000
0.215 0.500 0.140
0.285 0.000 0.860
0.715 0.000 0.140
0.785 0.500 0.860
0.071 0.500 0.717
0.429 0.000 0.283
0.571 0.000 0.717
0.929 0.500 0.283
```

Most intense lines, 5° ≤ 2θ ≤ 70°, sorted by position:
2theta, I/Imax
30.2, 100
34.9, 17
35.0, 34
50.2, 18
50.4, 18
59.6, 7
59.8, 29
60.0, 7
62.6, 6
62.8, 6

Repeat the fifth record exactly.
Starting from a GGA-PBE-relaxed structure, the X-ray diffraction stick pattern of TaPdS3 was computed for Cu Kα (λ = 1.5418 Å).
Kinematic intensities with the Lorentz-polarization factor, no thermal factor.

```
TaPdS3
1.0
6.238 0.000 0.000
0.000 3.410 0.000
-1.898 0.000 10.117
Ta Pd S
2 2 6
Direct
0.007 0.250 0.311
0.993 0.750 0.689
0.342 0.750 0.244
0.658 0.250 0.756
0.157 0.250 0.116
0.208 0.750 0.460
0.267 0.250 0.765
0.733 0.750 0.235
0.792 0.250 0.540
0.843 0.750 0.884
```

Most intense lines, 5° ≤ 2θ ≤ 70°, sorted by position:
2theta, I/Imax
8.7, 36
14.4, 56
17.5, 100
18.2, 40
30.5, 33
32.1, 67
35.8, 35
41.8, 29
44.6, 30
44.9, 36

Repeat the sixth record exactly.
Starting from a GGA-PBE-relaxed structure, the X-ray diffraction stick pattern of La2TbPm2Er2 was computed for Cu Kα (λ = 1.5418 Å).
Kinematic intensities with the Lorentz-polarization factor, no thermal factor.

```
La2TbPm2Er2
1.0
11.436 0.000 0.000
0.000 5.129 0.000
-1.152 0.000 8.058
La Tb Pm Er
4 2 4 4
Direct
0.142 0.000 0.425
0.358 0.500 0.575
0.642 0.500 0.425
0.858 0.000 0.575
0.000 0.000 0.000
0.500 0.500 0.000
0.215 0.500 0.140
0.285 0.000 0.860
0.715 0.000 0.140
0.785 0.500 0.860
0.071 0.500 0.717
0.429 0.000 0.283
0.571 0.000 0.717
0.929 0.500 0.283
```

Most intense lines, 5° ≤ 2θ ≤ 70°, sorted by position:
2theta, I/Imax
30.2, 100
34.9, 17
35.0, 34
50.2, 18
50.4, 18
59.6, 7
59.8, 29
60.0, 7
62.6, 6
62.8, 6